Entry 1:
# RbTmZrF7
Computed X-ray powder pattern, Cu Ka. Input: DFT lattice parameters and positions (GGA-PBE).

Cell and atoms:
Cell: 6.734 10.750 8.432 Å, 90.00 90.00 90.00°
Space group Cmcm (No. 63)
Unique sites:
1 Rb 0.000 0.000 0.000
2 Tm 0.000 0.302 0.250
3 Zr 0.000 0.306 0.750
4 F 0.000 0.291 0.002
5 F 0.000 0.499 0.750
6 F 0.186 0.137 0.250
7 F 0.187 0.142 0.750

Peak list (10 most intense, 2θ from 10° to 90°, sorted by position)
2θ/deg	Rel. int.	(hkl)
16.5	47.7	0 2 0
21.1	69.8	0 0 2
26.3	76.7	1 1 2
26.5	87.8	2 0 0
26.9	84.1	0 2 2
28.2	100.0	1 3 0
38.1	55.5	2 2 2
42.9	44.1	0 0 4
47.8	38.9	3 3 0
49.5	57.8	1 5 2

---

Entry 2:
# SmHoCuSi3
Computed X-ray powder pattern, Cu Ka. Input: DFT lattice parameters and positions (GGA-PBE).

Cell and atoms:
Cell: 8.037 8.185 13.911 Å, 90.00 90.00 90.00°
Space group Fmmm (No. 69)
Unique sites:
1 Sm 0.250 0.250 0.250
2 Ho 0.000 0.243 0.000
3 Cu 0.000 0.000 0.334
4 Si 0.000 0.000 0.168
5 Si 0.245 0.000 0.416

Peak list (10 most intense, 2θ from 10° to 90°, sorted by position)
2θ/deg	Rel. int.	(hkl)
21.7	7.6	0 2 0
25.6	36.5	2 0 2
33.8	100.0	0 2 4
44.3	11.1	0 4 0
45.1	31.8	4 0 0
51.8	10.9	2 4 2
57.6	21.5	4 2 4
65.1	20.9	4 4 0
74.8	9.7	0 6 4
76.0	18.9	2 2 10